Record 1
For Na3TiFe3O8, a DFT-relaxed cell (PBE+U, the Materials Project) gives the calculated powder XRD pattern in this record (Cu Kα (λ = 1.5418 Å)).

Atomic structure:
Cell: 5.2432 6.0388 5.8002 Å, 90.00 107.95 90.00°
Fractional coordinates of all 15 atoms:
Na (0.0000, 0.0000, 0.0000)
Na (0.5000, 0.2603, 0.0000)
Na (0.5000, 0.7397, 0.0000)
Ti (0.5000, 0.5000, 0.5000)
Fe (0.0000, 0.2493, 0.5000)
Fe (0.0000, 0.7507, 0.5000)
Fe (0.5000, 0.0000, 0.5000)
O (0.2316, 0.0000, 0.7010)
O (0.2444, 0.5000, 0.6886)
O (0.2755, 0.2540, 0.3078)
O (0.2755, 0.7460, 0.3078)
O (0.7245, 0.2540, 0.6922)
O (0.7245, 0.7460, 0.6922)
O (0.7556, 0.5000, 0.3114)
O (0.7684, 0.0000, 0.2990)

Principal peaks in the range 15° ≤ 2θ ≤ 90°, sorted by position:
| Position (°2θ) | Rel. int. |
| --- | --- |
| 16.1 | 100 |
| 32.5 | 16 |
| 34.7 | 13 |
| 36.0 | 27 |
| 40.6 | 37 |
| 40.9 | 72 |
| 52.2 | 11 |
| 56.6 | 20 |
| 56.9 | 10 |
| 61.3 | 19 |

---

Record 2
For NaV3Fe3O12, a DFT-relaxed cell (PBE+U, the Materials Project) gives the calculated powder XRD pattern in this record (Cu Kα (λ = 1.5418 Å)).

Atomic structure:
Cell: 6.8876 8.3183 10.0336 Å, 106.19 104.52 101.93°
Fractional coordinates of all 38 atoms:
Na (0.0000, 0.0000, 0.0000)
Na (0.4722, 0.9577, 0.9035)
V (0.1160, 0.7539, 0.5725)
V (0.2915, 0.8041, 0.1812)
V (0.4063, 0.3805, 0.1125)
V (0.6328, 0.5597, 0.7731)
V (0.7535, 0.1413, 0.7053)
V (0.9257, 0.1845, 0.3188)
Fe (0.1408, 0.5253, 0.8395)
Fe (0.2494, 0.2020, 0.6492)
Fe (0.4771, 0.2623, 0.4241)
Fe (0.5667, 0.6783, 0.4618)
Fe (0.7950, 0.7359, 0.2406)
Fe (0.9009, 0.4149, 0.0479)
O (0.0054, 0.2579, 0.7040)
O (0.0443, 0.6911, 0.1854)
O (0.1016, 0.6408, 0.6938)
O (0.1791, 0.2317, 0.4578)
O (0.2003, 0.4489, 0.0207)
O (0.2160, 0.9818, 0.6774)
O (0.2686, 0.7719, 0.9973)
O (0.2860, 0.7006, 0.4881)
O (0.3307, 0.0227, 0.2663)
O (0.3472, 0.1667, 0.0219)
O (0.3905, 0.4473, 0.7915)
O (0.4325, 0.4078, 0.2987)
O (0.5122, 0.7473, 0.2684)
O (0.5288, 0.1983, 0.6119)
O (0.5963, 0.5174, 0.5853)
O (0.6501, 0.4937, 0.1025)
O (0.6810, 0.7730, 0.8605)
O (0.7132, 0.9289, 0.6172)
O (0.7461, 0.2413, 0.4008)
O (0.7645, 0.1631, 0.8841)
O (0.8416, 0.9594, 0.2145)
O (0.8519, 0.4990, 0.8562)
O (0.8726, 0.7136, 0.4312)
O (0.9535, 0.2853, 0.1971)

Principal peaks in the range 15° ≤ 2θ ≤ 90°, sorted by position:
| Position (°2θ) | Rel. int. |
| --- | --- |
| 23.3 | 24 |
| 26.5 | 53 |
| 27.0 | 32 |
| 27.6 | 100 |
| 28.2 | 39 |
| 28.4 | 82 |
| 32.7 | 21 |
| 43.3 | 22 |
| 53.4 | 28 |
| 54.3 | 22 |